Structure and calculated XRD peak list of KTa2Fe2O7 (DFT lattice parameters and positions (PBE+U); Cu Kα (λ = 1.5418 Å)).
Kinematic intensities with the Lorentz-polarization factor, no thermal factor.

Structure:
```
12
Lattice="-2.0010 2.0797 9.0121 2.0010 -2.0797 9.0121 2.0010 2.0797 -9.0121" Properties=species:S:1:pos:R:3 pbc="T T T"
K 0.0000 0.0000 0.0000
Ta 0.0000 0.0000 7.0367
Ta 0.0000 0.0000 10.9876
Fe 2.0010 0.0000 4.2671
Fe 0.0000 2.0797 4.7450
O 2.0010 0.0000 2.0770
O 0.0000 0.0000 4.8886
O 2.0010 0.0000 6.9442
O 0.0000 0.0000 9.0121
O 0.0000 2.0797 2.0679
O 0.0000 0.0000 13.1357
O 0.0000 2.0797 6.9352
```

Top 8 peaks for 2θ from 10° to 80°, in order of falling intensity:
22.76 deg, rel. 100
21.93 deg, rel. 93
32.88 deg, rel. 86
37.01 deg, rel. 70
26.77 deg, rel. 54
50.95 deg, rel. 52
43.52 deg, rel. 51
60.58 deg, rel. 49